No. 1
# InHg3WS4
Theoretical X-ray powder pattern, CuKα. Input: a cell relaxed with PBE.
Kinematic intensities with the Lorentz-polarization factor, no thermal factor.

Structure:
a b c (Å): 7.3314 7.3314 7.3314
angles (deg): 90.00 90.00 90.00
Positions (direct):
In 0.0000 0.0000 0.0000
Hg 0.0000 0.5000 0.5000
Hg 0.5000 0.0000 0.5000
Hg 0.5000 0.5000 0.0000
W 0.5000 0.5000 0.5000
S 0.3245 0.3245 0.3245
S 0.3245 0.6755 0.6755
S 0.6755 0.3245 0.6755
S 0.6755 0.6755 0.3245

Main lines, in order of rising 2θ (10° ≤ 2θ ≤ 90°):
two_theta  d_spacing  intensity
12.07  7.331  71.9
20.99  4.233  72.9
24.28  3.666  90.8
27.20  3.279  21.2
34.61  2.592  100.0
40.82  2.211  45.4
42.72  2.116  32.1
56.10  1.639  48.1
62.01  1.497  33.3
78.24  1.222  23.3


No. 2
# ZrInHg3S4
Theoretical X-ray powder pattern, CuKα. Input: a cell relaxed with PBE.
Kinematic intensities with the Lorentz-polarization factor, no thermal factor.

Structure:
a b c (Å): 7.1821 7.6195 10.3796
angles (deg): 90.00 109.39 90.00
Positions (direct):
Zr 0.0069 0.2500 0.2487
Zr 0.9931 0.7500 0.7513
In 0.1743 0.2500 0.9286
In 0.8257 0.7500 0.0714
Hg 0.2932 0.5396 0.4676
Hg 0.2932 0.9604 0.4676
Hg 0.4800 0.7500 0.7056
Hg 0.5200 0.2500 0.2944
Hg 0.7068 0.0396 0.5324
Hg 0.7068 0.4604 0.5324
S 0.0848 0.2500 0.4980
S 0.1768 0.0037 0.1902
S 0.1768 0.4963 0.1902
S 0.3369 0.7500 0.8943
S 0.6631 0.2500 0.1057
S 0.8232 0.5037 0.8098
S 0.8232 0.9963 0.8098
S 0.9152 0.7500 0.5020

Main lines, in order of rising 2θ (10° ≤ 2θ ≤ 90°):
two_theta  d_spacing  intensity
13.19  6.710  50.3
14.73  6.013  89.3
17.61  5.036  77.3
25.08  3.550  59.1
26.57  3.355  53.6
29.75  3.003  100.0
35.28  2.544  45.9
35.46  2.531  58.6
36.24  2.479  40.2
47.76  1.904  38.6


No. 3
# Sc2InHg5
Theoretical X-ray powder pattern, CuKα. Input: a cell relaxed with PBE.
Kinematic intensities with the Lorentz-polarization factor, no thermal factor.

Structure:
a b c (Å): 4.9516 6.4318 6.4318
angles (deg): 60.36 90.00 90.00
Positions (direct):
Sc 0.0000 0.0000 0.0000
Sc 0.5000 0.3273 0.3273
In 0.0000 0.5031 0.5031
Hg 0.0000 0.0088 0.4980
Hg 0.0000 0.4980 0.0088
Hg 0.5000 0.3232 0.8347
Hg 0.5000 0.8347 0.3232
Hg 0.5000 0.8348 0.8348

Main lines, in order of rising 2θ (10° ≤ 2θ ≤ 90°):
two_theta  d_spacing  intensity
24.04  3.701  28.4
32.02  2.795  20.9
32.20  2.780  14.6
36.29  2.476  33.7
36.93  2.434  100.0
37.09  2.424  43.5
49.16  1.853  14.3
57.30  1.608  18.7
65.70  1.421  18.7
69.74  1.348  19.7